The following is a simulated powder diffractogram of Er8Mn3Mo5O28. It was derived from a crystal structure in Alexandria, relaxed with GGA+U, using λ = 1.5418 Å (Cu Kα).

Crystal structure
```
data_Er8Mn3Mo5O28
_symmetry_space_group_name_H-M 'C 1 2 1'
_symmetry_Int_Tables_number 5
_cell_length_a 12.8291
_cell_length_b 7.4929
_cell_length_c 11.6252
_cell_angle_alpha 90.00
_cell_angle_beta 100.46
_cell_angle_gamma 90.00
loop_
_symmetry_equiv_pos_as_xyz
'x,y,z'
'-x,y,-z'
'x+1/2,y+1/2,z'
'-x+1/2,y+1/2,-z'
loop_
_atom_site_label
_atom_site_type_symbol
_atom_site_fract_x
_atom_site_fract_y
_atom_site_fract_z
_atom_site_occupancy
Er1 Er 0.1176 0.0000 0.2129 1
Er2 Er 0.1179 0.2533 0.7267 1
Er3 Er 0.1190 0.4925 0.2501 1
Er4 Er 0.1222 0.7405 0.7558 1
Mn1 Mn 0.0000 0.2591 0.0000 1
Mn2 Mn 0.0000 0.5386 0.5000 1
Mn3 Mn 0.0000 0.6882 0.0000 1
Mo1 Mo 0.0000 0.9920 0.5000 1
Mo2 Mo 0.2481 0.9979 0.9907 1
Mo3 Mo 0.2494 0.7458 0.5042 1
O1 O 0.0039 0.9956 0.6670 1
O2 O 0.0144 0.2549 0.1692 1
O3 O 0.0288 0.5055 0.6722 1
O4 O 0.0304 0.7414 0.1704 1
O5 O 0.1043 0.7905 0.5412 1
O6 O 0.1062 0.1915 0.5309 1
O7 O 0.1082 0.4563 0.0349 1
O8 O 0.1113 0.0727 0.0177 1
O9 O 0.1912 0.7522 0.9582 1
O10 O 0.1919 0.4978 0.4588 1
O11 O 0.2115 0.7972 0.3420 1
O12 O 0.2126 0.2153 0.3241 1
O13 O 0.2139 0.0195 0.8090 1
O14 O 0.2140 0.4655 0.8347 1
```

Peak list (10 most intense, 10° ≤ 2θ ≤ 90°, sorted by position)
d (Å)  2θ (°)  intensity  hkl
5.716  15.5  19  0 0 2
3.028  29.5  100  2 2 1
3.002  29.8  50  4 0 -2
2.858  31.3  38  0 0 4
2.581  34.8  38  2 2 -3
2.571  34.9  19  4 0 2
1.873  48.6  17  0 4 0
1.857  49.1  33  6 2 -1
1.788  51.1  21  2 2 5
1.514  61.2  19  4 4 2